# 1
Calculated powder X-ray diffraction pattern
Compound: BaTlCd2Ag
Radiation: copper Kα
Structure: a GGA-PBE-relaxed structure

Main lines, by angle (10 to 90 degrees two-theta):
hkl	2θ/deg	d (Å)	intensity
0 0 2	13.82	6.406	12
0 1 3	27.79	3.210	22
1 0 3	28.26	3.157	17
1 1 2	29.88	2.990	100
0 2 0	36.84	2.440	27
2 0 0	38.39	2.345	24
1 1 4	38.72	2.325	32
0 1 5	39.73	2.269	14
2 2 0	54.26	1.691	17
1 3 2	62.11	1.495	15

Structural model:
abc: 4.690 4.880 12.811
angles: 90.00 90.00 90.00
Space group Imm2 (No. 44)
Symmetry-distinct sites (fractional):
Ba 0.000 0.000 0.000 x2
Tl 0.000 0.500 0.755 x2
Cd 0.000 0.000 0.613 x2
Cd 0.000 0.500 0.262 x2
Ag 0.000 0.000 0.394 x2

# 2
Calculated powder X-ray diffraction pattern
Compound: Ba2TlCd3Ag4
Radiation: copper Kα
Structure: a GGA-PBE-relaxed structure

Main lines, by angle (10 to 90 degrees two-theta):
hkl	2θ/deg	d (Å)	intensity
1 1 2	29.85	2.994	100
2 0 0	35.96	2.498	49
1 1 4	41.03	2.200	22
1 0 5	44.15	2.051	12
2 1 3	47.37	1.919	18
2 2 0	51.77	1.766	17
1 1 6	55.49	1.656	10
2 1 5	58.20	1.585	10
3 1 2	60.91	1.521	21
3 1 4	68.08	1.377	9

Structural model:
abc: 4.995 4.995 11.248
angles: 90.00 90.00 90.00
Space group P-4m2 (No. 115)
Symmetry-distinct sites (fractional):
Ba 0.000 0.500 0.243 x2
Tl 0.000 0.000 0.500 x1
Cd 0.000 0.500 0.881 x2
Cd 0.500 0.500 0.500 x1
Ag 0.000 0.000 0.000 x1
Ag 0.000 0.500 0.633 x2
Ag 0.500 0.500 0.000 x1

# 3
Calculated powder X-ray diffraction pattern
Compound: BaZnCd2Ag
Radiation: copper Kα
Structure: a GGA-PBE-relaxed structure

Main lines, by angle (10 to 90 degrees two-theta):
hkl	2θ/deg	d (Å)	intensity
1 0 3	29.45	3.033	46
1 1 2	30.64	2.918	100
0 2 0	37.83	2.378	29
2 0 0	38.05	2.365	28
1 1 4	40.67	2.219	24
0 1 5	42.69	2.118	23
1 2 3	48.67	1.871	12
1 1 6	53.93	1.700	12
2 2 0	54.74	1.677	19
1 3 2	63.87	1.457	14

Structural model:
abc: 4.730 4.757 11.833
angles: 90.00 90.00 90.00
Space group Imm2 (No. 44)
Symmetry-distinct sites (fractional):
Ba 0.000 0.000 0.000 x2
Zn 0.000 0.000 0.619 x2
Cd 0.000 0.000 0.383 x2
Cd 0.000 0.500 0.241 x2
Ag 0.000 0.500 0.738 x2

Question: What is the formula in the first record?
Answer: BaTlCd2Ag